Record 1
For Ba2ScAuO4, DFT lattice parameters and positions (GGA-PBE) gives the simulated powder XRD pattern in this record (Cu Kα X-rays).
Neutral-atom scattering factors, no anomalous dispersion.

Structural model:
abc: 5.825 5.825 5.825
angles: 111.80 111.80 104.91
Element x y z (fractional)
Ba 0.000 0.000 0.000
Ba 0.750 0.250 0.500
Sc 0.500 0.500 0.000
Au 0.250 0.750 0.500
O 0.168 0.148 0.651
O 0.483 0.832 0.979
O 0.496 0.517 0.349
O 0.852 0.504 0.021

Peak list (10 most intense, 10° ≤ 2θ ≤ 80°, sorted by position)
Position (°2θ), I (rel.)
18.46, 14
19.22, 12
27.31, 64
31.80, 100
39.01, 32
51.17, 56
59.26, 18
63.72, 14
66.44, 12
79.56, 14

Record 2
For BaTlAuO3, DFT lattice parameters and positions (GGA-PBE) gives the simulated powder XRD pattern in this record (Cu Kα X-rays).
Neutral-atom scattering factors, no anomalous dispersion.

Structural model:
abc: 6.727 6.727 6.692
angles: 113.22 113.22 62.33
Element x y z (fractional)
Ba 0.210 0.210 0.138
Ba 0.790 0.790 0.862
Tl 0.421 0.421 0.743
Tl 0.579 0.579 0.257
Au 0.227 0.773 0.500
Au 0.773 0.227 0.500
O 0.192 0.653 0.153
O 0.223 0.223 0.562
O 0.347 0.808 0.847
O 0.653 0.192 0.153
O 0.777 0.777 0.438
O 0.808 0.347 0.847

Peak list (10 most intense, 10° ≤ 2θ ≤ 80°, sorted by position)
Position (°2θ), I (rel.)
15.40, 41
17.36, 43
26.69, 100
27.79, 75
29.75, 35
30.07, 78
30.82, 73
39.88, 59
40.69, 37
42.99, 41

Record 3
For Ba4TlAuO, DFT lattice parameters and positions (GGA-PBE) gives the simulated powder XRD pattern in this record (Cu Kα X-rays).
Neutral-atom scattering factors, no anomalous dispersion.

Structural model:
abc: 9.930 9.930 7.633
angles: 90.00 90.00 135.64
Element x y z (fractional)
Ba 0.000 0.500 0.000
Ba 0.000 0.500 0.500
Ba 0.061 0.939 0.750
Ba 0.416 0.584 0.750
Ba 0.500 0.000 0.000
Ba 0.500 0.000 0.500
Ba 0.584 0.416 0.250
Ba 0.939 0.061 0.250
Tl 0.388 0.612 0.250
Tl 0.612 0.388 0.750
Au 0.122 0.878 0.250
Au 0.878 0.122 0.750
O 0.274 0.726 0.750
O 0.726 0.274 0.250

Peak list (10 most intense, 10° ≤ 2θ ≤ 80°, sorted by position)
Position (°2θ), I (rel.)
25.27, 46
25.66, 45
29.13, 30
29.47, 51
30.44, 71
30.77, 69
33.51, 100
44.98, 52
47.65, 26
57.80, 37

Record 4
For BaPAu, DFT lattice parameters and positions (GGA-PBE) gives the simulated powder XRD pattern in this record (Cu Kα X-rays).
Neutral-atom scattering factors, no anomalous dispersion.

Structural model:
abc: 4.957 4.957 7.251
angles: 90.00 90.00 99.77
Element x y z (fractional)
Ba 0.131 0.869 0.500
Ba 0.869 0.131 0.000
P 0.296 0.704 0.079
P 0.704 0.296 0.579
Au 0.471 0.529 0.803
Au 0.529 0.471 0.303

Peak list (10 most intense, 10° ≤ 2θ ≤ 80°, sorted by position)
Position (°2θ), I (rel.)
18.16, 32
26.53, 34
27.93, 60
30.71, 100
34.22, 26
38.30, 25
38.91, 24
44.74, 25
51.19, 24
62.48, 16

Record 5
For BaP12Au4, DFT lattice parameters and positions (GGA-PBE) gives the simulated powder XRD pattern in this record (Cu Kα X-rays).
Neutral-atom scattering factors, no anomalous dispersion.

Structural model:
abc: 7.300 7.300 7.300
angles: 105.31 105.31 105.31
Element x y z (fractional)
Ba 0.000 0.000 0.000
P 0.095 0.612 0.735
P 0.142 0.367 0.514
P 0.265 0.905 0.388
P 0.367 0.514 0.142
P 0.388 0.265 0.905
P 0.486 0.858 0.633
P 0.514 0.142 0.367
P 0.612 0.735 0.095
P 0.633 0.486 0.858
P 0.735 0.095 0.612
P 0.858 0.633 0.486
P 0.905 0.388 0.265
Au 0.000 0.000 0.500
Au 0.000 0.500 0.000
Au 0.500 0.000 0.000
Au 0.500 0.500 0.500

Peak list (10 most intense, 10° ≤ 2θ ≤ 80°, sorted by position)
Position (°2θ), I (rel.)
20.41, 63
27.14, 100
30.82, 78
37.25, 22
41.52, 25
44.19, 38
45.51, 21
49.09, 27
52.58, 34
65.27, 22

Record 6
For Ba8P2Au, DFT lattice parameters and positions (GGA-PBE) gives the simulated powder XRD pattern in this record (Cu Kα X-rays).
Neutral-atom scattering factors, no anomalous dispersion.

Structural model:
abc: 10.295 10.295 6.699
angles: 90.00 90.00 120.00
Element x y z (fractional)
Ba 0.163 0.326 0.255
Ba 0.163 0.837 0.255
Ba 0.326 0.163 0.745
Ba 0.333 0.667 0.769
Ba 0.667 0.333 0.231
Ba 0.674 0.837 0.255
Ba 0.837 0.163 0.745
Ba 0.837 0.674 0.745
P 0.333 0.667 0.281
P 0.667 0.333 0.719
Au 0.000 0.000 0.500

Peak list (10 most intense, 10° ≤ 2θ ≤ 80°, sorted by position)
Position (°2θ), I (rel.)
16.55, 14
19.92, 14
23.98, 100
26.61, 14
33.46, 31
34.86, 42
42.75, 21
44.39, 20
45.43, 18
56.30, 19